This entry pairs a crystal structure of V9Sb7O32 with its calculated X-ray powder pattern. Radiation: Cu Kα X-rays. Structure: a crystal structure in Alexandria, relaxed with GGA+U.
Peak positions follow from Bragg's law for the DFT cell and can differ from measured ones.

Principal peaks in the range 2θ from 10° to 80°, low angle first:
2θ (°)	I_rel	hkl
27.0	100	1 -1 3
34.5	70	0 3 -1
38.6	16	2 0 0
52.7	40	2 -3 1
52.8	24	1 -4 4
55.7	16	2 2 -6

Cell and atoms:
```
data_V9Sb7O32
_chemical_formula_sum 'V9 Sb7 O32'
_space_group_name_H-M_alt 'P -1'
_space_group_IT_number 2
_space_group_name_Hall '-P 1'
_cell_length_a 4.6682
_cell_length_b 7.8031
_cell_length_c 15.3475
_cell_angle_alpha 102.43
_cell_angle_beta 90.07
_cell_angle_gamma 90.01
loop_
_atom_site_label
_atom_site_type_symbol
_atom_site_fract_x
_atom_site_fract_y
_atom_site_fract_z
V1 V 0.0000 0.0000 0.0000
V2 V 0.0054 0.7498 0.2472
V3 V 0.0092 0.1260 0.3714
V4 V 0.4938 0.5619 0.6883
V5 V 0.4935 0.6879 0.0618
Sb1 Sb 0.0000 0.5000 0.5000
Sb2 Sb 0.0052 0.3795 0.1230
Sb3 Sb 0.4941 0.9402 0.8122
Sb4 Sb 0.4993 0.1863 0.5669
O1 O 0.1864 0.6344 0.6104
O2 O 0.1877 0.7608 0.9853
O3 O 0.1922 0.5161 0.2369
O4 O 0.1917 0.8849 0.3597
O5 O 0.1950 0.0211 0.7362
O6 O 0.1963 0.3853 0.8577
O7 O 0.1986 0.1424 0.1138
O8 O 0.2005 0.2650 0.4878
O9 O 0.2907 0.8288 0.1774
O10 O 0.2962 0.7038 0.7993
O11 O 0.2967 0.3214 0.6742
O12 O 0.3046 0.9484 0.5474
O13 O 0.3081 0.5796 0.4249
O14 O 0.3086 0.4539 0.0499
O15 O 0.3114 0.0745 0.9230
O16 O 0.3153 0.1984 0.2980
```